(1)
Theoretical X-ray diffraction stick pattern of NdZrAlIr2 for Cu Kα, from a crystal structure in Alexandria, relaxed with GGA-PBE.
Lines closer than 0.1° are merged.

Atomic structure:
Cell lengths 4.1883, 4.1883, 11.8058 Å; angles 90.00, 90.00, 90.00 degrees
Sites, in units of the cell vectors:
Nd 0.0000 0.0000 0.0000
Nd 0.5000 0.5000 0.5000
Zr 0.0000 0.5000 0.7500
Zr 0.5000 0.0000 0.2500
Al 0.0000 0.5000 0.2500
Al 0.5000 0.0000 0.7500
Ir 0.0000 0.0000 0.3884
Ir 0.0000 0.0000 0.6116
Ir 0.5000 0.5000 0.1116
Ir 0.5000 0.5000 0.8884

Top 12 peaks for 10° ≤ 2θ ≤ 90°, in order of rising 2θ:
2theta  d_spacing  Rel. int.
22.53  3.947  43
30.18  2.962  67
31.19  2.868  90
33.86  2.647  67
43.23  2.093  100
44.03  2.057  76
54.24  1.691  38
62.75  1.481  22
63.39  1.467  52
73.25  1.292  14
79.45  1.206  17
79.81  1.202  14

(2)
Theoretical X-ray diffraction stick pattern of PmDy2Tl2Zn2 for Cu Kα, from a crystal structure in Alexandria, relaxed with GGA-PBE.
Lines closer than 0.1° are merged.

Atomic structure:
Cell lengths 9.4776, 9.4776, 9.4776 Å; angles 29.21, 29.21, 29.21 degrees
Sites, in units of the cell vectors:
Pm 0.0000 0.0000 0.0000
Dy 0.1302 0.1302 0.1302
Dy 0.8698 0.8698 0.8698
Tl 0.2650 0.2650 0.2650
Tl 0.7350 0.7350 0.7350
Zn 0.4207 0.4207 0.4207
Zn 0.5793 0.5793 0.5793

Top 12 peaks for 10° ≤ 2θ ≤ 90°, in order of rising 2θ:
2theta  d_spacing  Rel. int.
19.58  4.534  12
21.72  4.092  16
22.45  3.960  12
31.58  2.833  100
34.13  2.627  54
37.64  2.390  100
49.93  1.827  28
51.71  1.768  17
64.18  1.451  26
64.51  1.445  26
65.70  1.421  17
67.94  1.380  18

(3)
Theoretical X-ray diffraction stick pattern of Sr4GaSn for Cu Kα, from a crystal structure in Alexandria, relaxed with GGA-PBE.
Lines closer than 0.1° are merged.

Atomic structure:
Cell lengths 9.1689, 9.1689, 7.2803 Å; angles 107.42, 107.42, 110.33 degrees
Sites, in units of the cell vectors:
Sr 0.0511 0.7049 0.9193
Sr 0.2407 0.3539 0.7285
Sr 0.2951 0.9489 0.5807
Sr 0.3539 0.2407 0.2285
Sr 0.6461 0.7593 0.7715
Sr 0.7049 0.0511 0.4193
Sr 0.7593 0.6461 0.2715
Sr 0.9489 0.2951 0.0807
Ga 0.0092 0.9908 0.7500
Ga 0.9908 0.0092 0.2500
Sn 0.3609 0.6391 0.2500
Sn 0.6391 0.3609 0.7500

Top 12 peaks for 10° ≤ 2θ ≤ 90°, in order of rising 2θ:
2theta  d_spacing  Rel. int.
13.73  6.450  55
25.69  3.468  36
26.23  3.397  100
27.73  3.217  81
28.80  3.100  34
29.49  3.029  52
30.77  2.906  70
31.22  2.865  59
32.27  2.774  40
32.51  2.754  87
33.92  2.643  55
35.10  2.557  94

(4)
Theoretical X-ray diffraction stick pattern of Ba3Sr6Ac for Cu Kα, from a crystal structure in Alexandria, relaxed with GGA-PBE.
Lines closer than 0.1° are merged.

Atomic structure:
Cell lengths 16.8195, 4.2922, 17.3536 Å; angles 90.00, 114.13, 90.00 degrees
Sites, in units of the cell vectors:
Ba 0.0432 0.2500 0.1203
Ba 0.1311 0.2500 0.5811
Ba 0.3817 0.7500 0.5426
Ba 0.6183 0.2500 0.4574
Ba 0.8689 0.7500 0.4189
Ba 0.9568 0.7500 0.8797
Sr 0.1083 0.7500 0.3551
Sr 0.1476 0.2500 0.8315
Sr 0.2273 0.7500 0.0588
Sr 0.3061 0.2500 0.3019
Sr 0.3341 0.7500 0.7903
Sr 0.4733 0.7500 0.2263
Sr 0.5267 0.2500 0.7737
Sr 0.6659 0.2500 0.2097
Sr 0.6939 0.7500 0.6981
Sr 0.7727 0.2500 0.9412
Sr 0.8524 0.7500 0.1685
Sr 0.8917 0.2500 0.6449
Ac 0.4098 0.2500 0.0073
Ac 0.5902 0.7500 0.9927

Top 12 peaks for 10° ≤ 2θ ≤ 90°, in order of rising 2θ:
2theta  d_spacing  Rel. int.
23.17  3.840  20
25.42  3.504  80
26.28  3.391  100
26.34  3.384  17
26.50  3.364  35
27.24  3.274  22
28.25  3.159  21
29.15  3.063  76
42.11  2.146  22
43.43  2.084  21
43.58  2.077  17
49.83  1.830  22